(1)
Structure and calculated powder XRD pattern of Zn2InAg7Sb2 (a structure optimized by DFT (PBE); Cu Ka).
Peak positions follow from Bragg's law for the DFT cell and can differ from measured ones.

Lattice parameters (Å, degrees): 5.9580 6.0099 13.2488 90.00 90.33 90.00
Space group C2/m (No. 12)
Unique sites:
Zn: 0.0000 0.0000 0.1822 (multiplicity 4)
In: 0.0000 0.5000 0.5000 (multiplicity 2)
Ag: 0.0000 0.0000 0.5000 (multiplicity 2)
Ag: 0.2342 0.0000 0.9997 (multiplicity 4)
Ag: 0.2496 0.2496 0.3386 (multiplicity 8)
Sb: 0.9999 0.5000 0.1800 (multiplicity 4)

Peak list (10 most intense, 15 to 90 degrees two-theta, in order of rising 2θ)
2θ/deg  d/Å  I/Imax
30.50  2.931  31
32.72  2.737  27
36.16  2.484  85
36.28  2.476  100
36.48  2.463  98
40.54  2.225  42
40.87  2.208  69
42.74  2.116  55
43.31  2.089  41
73.76  1.285  23

(2)
Structure and calculated powder XRD pattern of CoTeSe2 (a structure optimized by DFT (PBE); Cu Ka).
Peak positions follow from Bragg's law for the DFT cell and can differ from measured ones.

Lattice parameters (Å, degrees): 3.6779 5.8948 9.2746 90.45 90.92 92.86
Space group P-1 (No. 2)
Unique sites:
Co: 0.2357 0.2326 0.0059 (multiplicity 2)
Te: 0.2478 0.3989 0.5938 (multiplicity 2)
Se: 0.2569 0.5948 0.1248 (multiplicity 2)
Se: 0.2700 0.9081 0.8583 (multiplicity 2)

Peak list (10 most intense, 15 to 90 degrees two-theta, in order of rising 2θ)
2θ/deg  d/Å  I/Imax
15.05  5.887  62
17.92  4.951  73
19.14  4.637  37
24.54  3.627  31
31.98  2.799  60
34.28  2.616  100
34.93  2.569  95
42.60  2.122  49
49.64  1.836  39
52.70  1.737  38

(3)
Structure and calculated powder XRD pattern of K3OsCl8 (a structure optimized by DFT (PBE); Cu Ka).
Peak positions follow from Bragg's law for the DFT cell and can differ from measured ones.

Lattice parameters (Å, degrees): 9.4816 9.4816 9.1479 90.00 90.00 120.00
Space group P6_3mc (No. 186)
Unique sites:
K: 0.1524 0.3047 0.0000 (multiplicity 6)
Os: 0.3333 0.6667 0.4602 (multiplicity 2)
Cl: 0.0000 0.0000 0.2682 (multiplicity 2)
Cl: 0.1026 0.5513 0.3168 (multiplicity 6)
Cl: 0.2168 0.4336 0.6086 (multiplicity 6)
Cl: 0.3333 0.6667 0.9744 (multiplicity 2)

Peak list (10 most intense, 15 to 90 degrees two-theta, in order of rising 2θ)
2θ/deg  d/Å  I/Imax
18.72  4.741  94
19.41  4.574  41
23.75  3.746  100
27.09  3.292  49
29.23  3.055  93
34.94  2.568  47
36.71  2.448  50
37.96  2.370  54
42.98  2.105  41
60.53  1.530  30

(4)
Structure and calculated powder XRD pattern of CaYTcW2 (a structure optimized by DFT (PBE); Cu Ka).
Peak positions follow from Bragg's law for the DFT cell and can differ from measured ones.

Lattice parameters (Å, degrees): 4.8084 4.8084 5.2010 90.00 90.00 90.00
Space group P4/mmm (No. 123)
Unique sites:
Ca: 0.0000 0.0000 0.0000 (multiplicity 1)
Y: 0.5000 0.5000 0.0000 (multiplicity 1)
Tc: 0.0000 0.0000 0.5000 (multiplicity 1)
W: 0.0000 0.5000 0.5000 (multiplicity 2)

Peak list (10 most intense, 15 to 90 degrees two-theta, in order of rising 2θ)
2θ/deg  d/Å  I/Imax
17.05  5.201  75
25.22  3.531  26
31.43  2.846  100
34.49  2.600  45
37.41  2.404  72
41.37  2.182  34
51.79  1.765  56
63.77  1.459  26
65.61  1.423  27
84.79  1.143  26

(5)
Structure and calculated powder XRD pattern of Ho5Sc2Tl4 (a structure optimized by DFT (PBE); Cu Ka).
Peak positions follow from Bragg's law for the DFT cell and can differ from measured ones.

Lattice parameters (Å, degrees): 3.4283 9.1974 21.4027 90.00 90.00 90.00
Space group Immm (No. 71)
Unique sites:
Ho: 0.0000 0.0000 0.0000 (multiplicity 2)
Ho: 0.0000 0.1848 0.3429 (multiplicity 8)
Sc: 0.0000 0.5000 0.3823 (multiplicity 4)
Tl: 0.0000 0.1785 0.5000 (multiplicity 4)
Tl: 0.0000 0.5000 0.2522 (multiplicity 4)

Peak list (10 most intense, 15 to 90 degrees two-theta, in order of rising 2θ)
2θ/deg  d/Å  I/Imax
26.33  3.385  55
29.02  3.077  75
29.43  3.035  86
31.75  2.819  66
32.85  2.726  48
33.49  2.675  41
37.68  2.387  97
39.44  2.284  100
41.72  2.165  40
62.99  1.476  46

(6)
Structure and calculated powder XRD pattern of ZrInC2 (a structure optimized by DFT (PBE); Cu Ka).
Peak positions follow from Bragg's law for the DFT cell and can differ from measured ones.

Lattice parameters (Å, degrees): 5.4815 5.4815 8.8874 90.00 90.00 90.00
Space group I-42d (No. 122)
Unique sites:
Zr: 0.0000 0.0000 0.0000 (multiplicity 4)
In: 0.0000 0.0000 0.5000 (multiplicity 4)
C: 0.2393 0.2500 0.1250 (multiplicity 8)

Peak list (10 most intense, 15 to 90 degrees two-theta, in order of rising 2θ)
2θ/deg  d/Å  I/Imax
30.61  2.921  100
32.67  2.741  33
40.60  2.222  9
46.88  1.938  17
53.06  1.726  24
57.03  1.615  33
63.72  1.460  10
67.72  1.384  10
76.84  1.241  7
86.41  1.126  10